(1)
Starting from DFT lattice parameters and positions (GGA+U), the XRD peak list of MgV5CrO12 was simulated for Cu Kα (weighted mean of Kα1 and Kα2).

```
19
Lattice="5.549 -4.358 0.000 5.549 4.358 0.000 -2.368 0.000 5.003" Properties=species:S:1:pos:R:3 pbc="T T T"
Mg 0.000 0.000 0.000
V 3.189 1.621 0.066
V 1.276 -0.898 2.664
V 5.541 1.621 4.936
V 4.365 -2.601 2.501
V 7.454 -0.898 2.338
Cr 5.549 -1.167 0.000
O 1.833 2.907 4.252
O 0.177 0.385 2.153
O 2.937 1.986 1.801
O 6.897 2.907 0.751
O 1.550 -0.007 4.626
O 5.793 1.986 3.202
O 3.060 -1.211 2.991
O 7.180 -0.007 0.376
O 4.186 -2.728 0.399
O 5.670 -1.211 2.011
O 8.553 0.385 2.849
O 4.544 -2.728 4.603
```

Peak list (8 most intense, 10 to 90 degrees two-theta, in order of rising 2θ)
2θ/deg, Rel. int.
13.46, 37
27.97, 100
28.59, 44
35.89, 39
36.67, 17
42.07, 17
51.86, 26
54.25, 17

---

(2)
Starting from DFT lattice parameters and positions (GGA+U), the XRD peak list of CaLaCrBiO6 was simulated for Cu Kα (weighted mean of Kα1 and Kα2).

```
10
Lattice="0.000 4.128 4.128 4.128 0.000 4.128 4.128 4.128 0.000" Properties=species:S:1:pos:R:3 pbc="T T T"
Ca 0.000 0.000 0.000
La 4.128 4.128 4.128
Cr 6.192 6.192 6.192
Bi 2.064 2.064 2.064
O 6.192 6.192 4.217
O 6.192 4.217 6.192
O 8.167 6.192 6.192
O 4.217 6.192 6.192
O 6.192 8.167 6.192
O 6.192 6.192 8.167
```

Peak list (8 most intense, 10 to 90 degrees two-theta, in order of rising 2θ)
2θ/deg, Rel. int.
18.61, 38
30.63, 100
36.08, 26
43.86, 32
54.44, 40
63.77, 19
72.39, 18
88.65, 22

---

(3)
Starting from DFT lattice parameters and positions (GGA+U), the XRD peak list of La3Ni2O7 was simulated for Cu Kα (weighted mean of Kα1 and Kα2).

```
24
Lattice="10.156 -2.803 0.000 10.156 2.803 0.000 0.000 0.000 5.457" Properties=species:S:1:pos:R:3 pbc="T T T"
La 6.494 1.478 4.093
La 10.156 1.405 4.093
La 13.819 1.478 4.093
La 6.494 -1.478 1.364
La 10.156 -1.405 1.364
La 13.819 -1.478 1.364
Ni 8.177 1.385 1.364
Ni 12.136 1.385 1.364
Ni 8.177 -1.385 4.093
Ni 12.136 -1.385 4.093
O 4.161 1.077 4.093
O 1.734 0.000 0.000
O 1.734 0.000 2.729
O 10.156 0.973 1.364
O 7.887 0.000 0.000
O 7.887 0.000 2.729
O 4.161 -1.077 1.364
O 16.152 1.077 4.093
O 12.426 0.000 0.000
O 12.426 0.000 2.729
O 10.156 -0.973 4.093
O 18.579 0.000 0.000
O 18.579 0.000 2.729
O 16.152 -1.077 1.364
```

Peak list (8 most intense, 10 to 90 degrees two-theta, in order of rising 2θ)
2θ/deg, Rel. int.
23.16, 16
26.32, 17
31.76, 100
31.93, 32
32.82, 32
46.44, 40
56.79, 21
57.93, 18

---

Repeat the third record exactly.
Starting from DFT lattice parameters and positions (GGA+U), the XRD peak list of La3Ni2O7 was simulated for Cu Kα (weighted mean of Kα1 and Kα2).

```
24
Lattice="10.156 -2.803 0.000 10.156 2.803 0.000 0.000 0.000 5.457" Properties=species:S:1:pos:R:3 pbc="T T T"
La 6.494 1.478 4.093
La 10.156 1.405 4.093
La 13.819 1.478 4.093
La 6.494 -1.478 1.364
La 10.156 -1.405 1.364
La 13.819 -1.478 1.364
Ni 8.177 1.385 1.364
Ni 12.136 1.385 1.364
Ni 8.177 -1.385 4.093
Ni 12.136 -1.385 4.093
O 4.161 1.077 4.093
O 1.734 0.000 0.000
O 1.734 0.000 2.729
O 10.156 0.973 1.364
O 7.887 0.000 0.000
O 7.887 0.000 2.729
O 4.161 -1.077 1.364
O 16.152 1.077 4.093
O 12.426 0.000 0.000
O 12.426 0.000 2.729
O 10.156 -0.973 4.093
O 18.579 0.000 0.000
O 18.579 0.000 2.729
O 16.152 -1.077 1.364
```

Peak list (8 most intense, 10 to 90 degrees two-theta, in order of rising 2θ)
2θ/deg, Rel. int.
23.16, 16
26.32, 17
31.76, 100
31.93, 32
32.82, 32
46.44, 40
56.79, 21
57.93, 18